1.
Starting from a DFT-relaxed cell (PBE+U, the Materials Project), the PXRD pattern of SrMgFe2Se4O12 was calculated for Cu Kα, 1.54184 Å.
Kinematic intensities with the Lorentz-polarization factor, no thermal factor.

Largest 10 diffraction maxima, in order of falling intensity, 2θ from 15° to 90°:
2θ/deg	d [Å]	I_rel
31.00	2.885	100.0
23.58	3.772	93.3
31.81	2.814	62.1
26.73	3.335	52.9
27.54	3.239	50.8
29.14	3.065	33.4
40.35	2.235	32.2
42.55	2.125	26.3
42.00	2.151	23.9
64.98	1.435	23.5

Cell lengths 7.314, 5.630, 7.397 Å; angles 90.00, 92.60, 90.00 degrees
Space group Pm (No. 6)
Asymmetric unit:
Sr (0.000, 0.000, 0.000) (multiplicity 1)
Mg (0.814, 0.500, 0.257) (multiplicity 1)
Fe (0.457, 0.500, 0.991) (multiplicity 1)
Fe (0.977, 0.000, 0.528) (multiplicity 1)
Se (0.188, 0.500, 0.398) (multiplicity 1)
Se (0.388, 0.000, 0.780) (multiplicity 1)
Se (0.576, 0.000, 0.238) (multiplicity 1)
Se (0.779, 0.500, 0.643) (multiplicity 1)
O (0.035, 0.275, 0.310) (multiplicity 2)
O (0.254, 0.000, 0.583) (multiplicity 1)
O (0.292, 0.224, 0.909) (multiplicity 2)
O (0.369, 0.500, 0.265) (multiplicity 1)
O (0.574, 0.500, 0.739) (multiplicity 1)
O (0.677, 0.238, 0.121) (multiplicity 2)
O (0.698, 0.000, 0.438) (multiplicity 1)
O (0.899, 0.259, 0.730) (multiplicity 2)

***

2.
Starting from a DFT-relaxed cell (PBE+U, the Materials Project), the PXRD pattern of SrCrF4 was calculated for Cu Kα, 1.54184 Å.
Kinematic intensities with the Lorentz-polarization factor, no thermal factor.

Largest 10 diffraction maxima, in order of falling intensity, 2θ from 15° to 90°:
2θ/deg	d [Å]	I_rel
27.20	3.279	100.0
45.32	2.001	44.6
53.23	1.721	28.2
44.84	2.021	19.6
54.09	1.696	13.4
31.29	2.859	12.2
56.10	1.639	6.8
72.75	1.300	6.1
72.84	1.298	6.1
36.03	2.493	5.8

Cell lengths 5.711, 5.724, 11.207 Å; angles 90.00, 90.00, 90.00 degrees
Space group Ibam (No. 72)
Asymmetric unit:
Sr (0.000, 0.000, 0.000) (multiplicity 4)
Cr (0.000, 0.500, 0.250) (multiplicity 4)
F (0.188, 0.311, 0.128) (multiplicity 16)

***

3.
Starting from a DFT-relaxed cell (PBE+U, the Materials Project), the PXRD pattern of CrO3 was calculated for Cu Kα, 1.54184 Å.
Kinematic intensities with the Lorentz-polarization factor, no thermal factor.

Largest 10 diffraction maxima, in order of falling intensity, 2θ from 15° to 90°:
2θ/deg	d [Å]	I_rel
25.24	3.528	100.0
18.65	4.757	85.1
27.82	3.207	54.0
31.38	2.851	32.4
29.79	2.999	24.5
32.71	2.738	22.5
19.23	4.614	21.8
42.52	2.126	15.3
50.79	1.797	12.6
28.73	3.107	12.1

Cell lengths 10.179, 9.229, 5.858 Å; angles 90.00, 110.82, 90.00 degrees
Space group C2/c (No. 15)
Asymmetric unit:
Cr (0.207, 0.089, 0.230) (multiplicity 8)
O (0.127, 0.403, 0.667) (multiplicity 8)
O (0.146, 0.003, 0.445) (multiplicity 8)
O (0.146, 0.251, 0.187) (multiplicity 8)

***

4.
Starting from a DFT-relaxed cell (PBE+U, the Materials Project), the PXRD pattern of Li5Fe2P2C2O14 was calculated for Cu Kα, 1.54184 Å.
Kinematic intensities with the Lorentz-polarization factor, no thermal factor.

Largest 10 diffraction maxima, in order of falling intensity, 2θ from 15° to 90°:
2θ/deg	d [Å]	I_rel
27.27	3.270	100.0
21.37	4.158	61.1
19.75	4.495	40.7
26.42	3.373	34.0
17.19	5.159	29.9
36.35	2.471	25.4
25.38	3.509	25.0
32.00	2.797	25.0
40.66	2.219	22.2
45.32	2.001	19.3

Cell lengths 8.259, 8.271, 8.428 Å; angles 93.25, 92.92, 104.62 degrees
Space group P1 (No. 1)
Asymmetric unit:
Li (0.000, 0.000, 0.000) (multiplicity 1)
Li (0.003, 0.495, 0.550) (multiplicity 1)
Li (0.129, 0.838, 0.375) (multiplicity 1)
Li (0.158, 0.360, 0.172) (multiplicity 1)
Li (0.275, 0.216, 0.553) (multiplicity 1)
Li (0.295, 0.742, 0.006) (multiplicity 1)
Li (0.492, 0.975, 0.549) (multiplicity 1)
Li (0.506, 0.489, 0.999) (multiplicity 1)
Li (0.632, 0.346, 0.374) (multiplicity 1)
Li (0.639, 0.867, 0.191) (multiplicity 1)
Fe (0.379, 0.585, 0.603) (multiplicity 1)
Fe (0.428, 0.127, 0.950) (multiplicity 1)
Fe (0.863, 0.068, 0.614) (multiplicity 1)
Fe (0.912, 0.619, 0.936) (multiplicity 1)
P (0.132, 0.337, 0.858) (multiplicity 1)
P (0.155, 0.863, 0.693) (multiplicity 1)
P (0.630, 0.837, 0.864) (multiplicity 1)
P (0.655, 0.362, 0.690) (multiplicity 1)
C (0.361, 0.075, 0.246) (multiplicity 1)
C (0.407, 0.633, 0.305) (multiplicity 1)
C (0.869, 0.571, 0.228) (multiplicity 1)
C (0.930, 0.124, 0.326) (multiplicity 1)
O (0.008, 0.218, 0.453) (multiplicity 1)
O (0.017, 0.919, 0.593) (multiplicity 1)
O (0.076, 0.476, 0.958) (multiplicity 1)
O (0.101, 0.806, 0.860) (multiplicity 1)
O (0.186, 0.716, 0.585) (multiplicity 1)
O (0.197, 0.396, 0.698) (multiplicity 1)
O (0.267, 0.296, 0.972) (multiplicity 1)
O (0.275, 0.977, 0.129) (multiplicity 1)
O (0.296, 0.502, 0.342) (multiplicity 1)
O (0.315, 0.009, 0.720) (multiplicity 1)
O (0.325, 0.046, 0.392) (multiplicity 1)
O (0.443, 0.655, 0.159) (multiplicity 1)
O (0.482, 0.200, 0.215) (multiplicity 1)
O (0.487, 0.673, 0.835) (multiplicity 1)
O (0.487, 0.742, 0.418) (multiplicity 1)
O (0.528, 0.412, 0.573) (multiplicity 1)
O (0.575, 0.958, 0.983) (multiplicity 1)
O (0.582, 0.317, 0.849) (multiplicity 1)
O (0.672, 0.909, 0.700) (multiplicity 1)
O (0.698, 0.213, 0.592) (multiplicity 1)
O (0.762, 0.507, 0.106) (multiplicity 1)
O (0.789, 0.802, 0.951) (multiplicity 1)
O (0.801, 0.004, 0.358) (multiplicity 1)
O (0.822, 0.505, 0.724) (multiplicity 1)
O (0.850, 0.516, 0.365) (multiplicity 1)
O (0.981, 0.149, 0.188) (multiplicity 1)
O (0.984, 0.175, 0.823) (multiplicity 1)
O (0.998, 0.690, 0.194) (multiplicity 1)